[1]
For Li3Cu5, a cell relaxed with GGA-PBE gives the computed X-ray powder pattern in this record (copper Kα).

Most intense lines, 2θ = 5–70°, most intense first:
| hkl | 2θ (°) | I/Imax |
| --- | --- | --- |
| 1 1 4 | 43.96 | 100 |
| 0 1 1 | 22.70 | 59 |
| 0 2 0 | 43.48 | 26 |
| 2 0 0 | 43.86 | 25 |
| 1 0 3 | 31.74 | 18 |
| 2 2 0 | 63.47 | 16 |
| 2 1 1 | 49.94 | 13 |
| 1 0 5 | 44.88 | 13 |
| 0 0 2 | 15.31 | 10 |
| 1 2 5 | 64.27 | 8 |

Structure:
Lattice parameters (Å, degrees): 4.1286 4.1629 11.5773 90.00 90.00 90.00
Space group Immm (No. 71)
Unique sites:
1 Li 0.0000 0.0000 0.0000
2 Li 0.0000 0.5000 0.3666
3 Cu 0.0000 0.0000 0.2551
4 Cu 0.0000 0.0000 0.5000
5 Cu 0.0000 0.5000 0.1225

***

[2]
For Hf4ZnTc3, a cell relaxed with GGA-PBE gives the computed X-ray powder pattern in this record (copper Kα).

Most intense lines, 2θ = 5–70°, most intense first:
| hkl | 2θ (°) | I/Imax |
| --- | --- | --- |
| 1 0 4 | 38.86 | 100 |
| 1 1 0 | 38.55 | 52 |
| 2 1 4 | 69.96 | 35 |
| 2 0 0 | 55.66 | 18 |
| 1 0 0 | 27.00 | 12 |
| 0 0 8 | 56.59 | 8 |
| 0 0 4 | 27.42 | 6 |
| 1 1 4 | 47.96 | 5 |
| 2 1 0 | 62.93 | 3 |
| 2 0 4 | 63.15 | 2 |

Structure:
Lattice parameters (Å, degrees): 3.3024 3.3024 13.0117 90.00 90.00 90.00
Space group P4/mmm (No. 123)
Unique sites:
1 Hf 0.0000 0.0000 0.1234
2 Hf 0.0000 0.0000 0.3660
3 Zn 0.5000 0.5000 0.5000
4 Tc 0.5000 0.5000 0.0000
5 Tc 0.5000 0.5000 0.2537

***

[3]
For NbCr3Cu2S8, a cell relaxed with GGA-PBE gives the computed X-ray powder pattern in this record (copper Kα).

Most intense lines, 2θ = 5–70°, most intense first:
| hkl | 2θ (°) | I/Imax |
| --- | --- | --- |
| 1 1 3 | 29.98 | 100 |
| 2 2 2 | 43.38 | 72 |
| 2 0 6 | 52.42 | 63 |
| 2 1 1 | 30.65 | 61 |
| 1 0 2 | 19.37 | 36 |
| 4 0 0 | 51.76 | 35 |
| 1 1 1 | 21.30 | 33 |
| 0 2 4 | 43.63 | 31 |
| 2 1 2 | 33.31 | 29 |
| 2 3 2 | 56.95 | 28 |

Structure:
Lattice parameters (Å, degrees): 7.0649 5.7236 12.0470 90.00 90.00 90.00
Space group Pmc2_1 (No. 26)
Unique sites:
1 Nb 0.0000 0.2254 0.0000
2 Cr 0.2533 0.2569 0.7454
3 Cr 0.5000 0.2692 0.4888
4 Cu 0.0000 0.1434 0.3443
5 Cu 0.5000 0.3344 0.1571
6 S 0.0000 0.0161 0.6626
7 S 0.0000 0.4699 0.8271
8 S 0.2466 0.4847 0.5764
9 S 0.2643 0.0126 0.9133
10 S 0.5000 0.0518 0.6565
11 S 0.5000 0.4919 0.8253

***

[4]
For Nd3Al4, a cell relaxed with GGA-PBE gives the computed X-ray powder pattern in this record (copper Kα).

Most intense lines, 2θ = 5–70°, most intense first:
| hkl | 2θ (°) | I/Imax |
| --- | --- | --- |
| 1 1 3 | 28.75 | 100 |
| 0 4 0 | 31.49 | 80 |
| 0 2 4 | 30.08 | 66 |
| 1 1 4 | 33.50 | 54 |
| 1 3 0 | 30.86 | 47 |
| 1 3 3 | 36.55 | 41 |
| 2 0 0 | 40.18 | 36 |
| 1 1 2 | 24.86 | 34 |
| 0 2 2 | 20.15 | 33 |
| 1 1 1 | 22.22 | 31 |

Structure:
Lattice parameters (Å, degrees): 4.4889 11.3824 13.9346 90.00 90.00 90.00
Space group Cmcm (No. 63)
Unique sites:
1 Nd 0.0000 0.0179 0.2500
2 Nd 0.0000 0.2762 0.6027
3 Al 0.0000 0.0000 0.0000
4 Al 0.0000 0.3029 0.2500
5 Al 0.0000 0.4358 0.0947

***

[5]
For Zn3Pt12Au, a cell relaxed with GGA-PBE gives the computed X-ray powder pattern in this record (copper Kα).

Most intense lines, 2θ = 5–70°, most intense first:
| hkl | 2θ (°) | I/Imax |
| --- | --- | --- |
| 1 1 4 | 39.50 | 100 |
| 2 0 0 | 45.93 | 49 |
| 2 2 0 | 66.98 | 32 |
| 1 0 0 | 22.50 | 5 |
| 1 1 0 | 32.03 | 4 |
| 2 1 0 | 51.73 | 2 |
| 0 0 1 | 5.58 | 2 |
| 2 1 4 | 57.09 | 2 |
| 1 1 3 | 36.39 | 1 |
| 0 0 6 | 34.02 | 1 |

Structure:
Lattice parameters (Å, degrees): 3.9496 3.9496 15.8242 90.00 90.00 90.00
Space group P4/mmm (No. 123)
Unique sites:
1 Zn 0.0000 0.0000 0.0000
2 Zn 0.0000 0.0000 0.2467
3 Pt 0.0000 0.5000 0.1233
4 Pt 0.0000 0.5000 0.3688
5 Pt 0.5000 0.5000 0.0000
6 Pt 0.5000 0.5000 0.2461
7 Pt 0.5000 0.5000 0.5000
8 Au 0.0000 0.0000 0.5000

***

[6]
For MnI2Cl, a cell relaxed with GGA-PBE gives the computed X-ray powder pattern in this record (copper Kα).

Most intense lines, 2θ = 5–70°, most intense first:
| hkl | 2θ (°) | I/Imax |
| --- | --- | --- |
| 0 1 0 | 14.07 | 100 |
| 0 1 1 | 24.12 | 81 |
| 0 2 -1 | 24.68 | 31 |
| 1 1 -1 | 29.27 | 28 |
| 1 2 -2 | 37.21 | 26 |
| 0 3 0 | 43.11 | 22 |
| 1 -3 1 | 46.39 | 19 |
| 1 1 1 | 40.56 | 19 |
| 1 1 -3 | 40.91 | 18 |
| 0 0 3 | 42.11 | 18 |

Structure:
Lattice parameters (Å, degrees): 3.3679 7.2154 7.5572 118.50 102.35 90.12
Space group P1 (No. 1)
Unique sites:
1 Mn 0.0000 0.0000 0.0000
2 I 0.3487 0.0270 0.6959
3 I 0.6539 0.3312 0.3043
4 Cl 0.4989 0.7617 0.0000

***

[7]
For Er2Cd5In, a cell relaxed with GGA-PBE gives the computed X-ray powder pattern in this record (copper Kα).

Most intense lines, 2θ = 5–70°, most intense first:
| hkl | 2θ (°) | I/Imax |
| --- | --- | --- |
| 1 5 0 | 32.25 | 100 |
| 1 3 2 | 33.34 | 93 |
| 0 8 2 | 36.68 | 73 |
| 0 8 6 | 65.21 | 40 |
| 0 0 4 | 36.06 | 37 |
| 1 1 3 | 37.41 | 33 |
| 0 4 3 | 31.28 | 28 |
| 2 0 0 | 51.88 | 24 |
| 1 11 4 | 64.59 | 23 |
| 1 3 6 | 63.08 | 22 |

Structure:
Lattice parameters (Å, degrees): 3.5248 22.5095 9.9693 90.00 90.00 90.00
Space group Cmcm (No. 63)
Unique sites:
1 Er 0.0000 0.0000 0.0000
2 Er 0.0000 0.1794 0.2500
3 Cd 0.0000 0.2173 0.6043
4 Cd 0.0000 0.3749 0.5036
5 Cd 0.0000 0.4303 0.2500
6 In 0.0000 0.4418 0.7500

***

[8]
For La2Pm3Er7, a cell relaxed with GGA-PBE gives the computed X-ray powder pattern in this record (copper Kα).

Most intense lines, 2θ = 5–70°, most intense first:
| hkl | 2θ (°) | I/Imax |
| --- | --- | --- |
| 1 1 2 | 31.24 | 100 |
| 0 0 6 | 30.69 | 95 |
| 2 0 -3 | 30.61 | 87 |
| 1 1 -4 | 34.66 | 72 |
| 2 0 3 | 33.67 | 66 |
| 1 1 1 | 29.65 | 54 |
| 0 2 6 | 61.31 | 51 |
| 3 1 -1 | 50.10 | 36 |
| 1 1 -5 | 37.82 | 31 |
| 0 2 0 | 51.71 | 23 |

Structure:
Lattice parameters (Å, degrees): 6.3721 3.5359 17.5885 90.00 96.34 90.00
Space group P2/m (No. 10)
Unique sites:
1 La 0.0534 0.0000 0.1740
2 Pm 0.4568 0.5000 0.8416
3 Pm 0.5000 0.0000 0.5000
4 Er 0.0000 0.5000 0.5000
5 Er 0.2268 0.0000 0.6637
6 Er 0.2555 0.0000 0.0007
7 Er 0.2745 0.5000 0.3383

***

[9]
For ZnAgCl3, a cell relaxed with GGA-PBE gives the computed X-ray powder pattern in this record (copper Kα).

Most intense lines, 2θ = 5–70°, most intense first:
| hkl | 2θ (°) | I/Imax |
| --- | --- | --- |
| 1 3 -1 | 25.60 | 100 |
| 2 2 -1 | 22.07 | 82 |
| 2 2 1 | 26.87 | 62 |
| 3 1 0 | 22.52 | 58 |
| 5 3 1 | 48.15 | 57 |
| 3 3 -1 | 30.87 | 53 |
| 1 3 -3 | 46.58 | 48 |
| 0 0 2 | 27.86 | 44 |
| 2 2 0 | 20.22 | 37 |
| 5 3 -1 | 41.06 | 32 |

Structure:
Lattice parameters (Å, degrees): 13.0752 12.3361 6.6980 90.00 107.01 90.00
Space group C2/c (No. 15)
Unique sites:
1 Zn 0.2004 0.0841 0.2787
2 Ag 0.0000 0.2233 0.7500
3 Ag 0.0000 0.3975 0.2500
4 Cl 0.1178 0.4152 0.6352
5 Cl 0.1261 0.2391 0.1153
6 Cl 0.1381 0.0668 0.5702

***

[10]
For Ho2Pa2Ru3, a cell relaxed with GGA-PBE gives the computed X-ray powder pattern in this record (copper Kα).

Most intense lines, 2θ = 5–70°, most intense first:
| hkl | 2θ (°) | I/Imax |
| --- | --- | --- |
| 2 1 0 | 31.71 | 100 |
| 1 2 1 | 29.38 | 71 |
| 1 3 -1 | 34.60 | 68 |
| 0 1 2 | 35.32 | 57 |
| 0 4 0 | 35.42 | 48 |
| 2 3 0 | 40.69 | 36 |
| 2 0 -2 | 44.85 | 33 |
| 2 4 2 | 60.95 | 26 |
| 1 0 2 | 38.42 | 25 |
| 0 3 2 | 43.66 | 25 |

Structure:
Lattice parameters (Å, degrees): 5.8877 10.1374 5.2607 90.00 93.57 90.00
Space group P2_1/c (No. 14)
Unique sites:
1 Ho 0.1331 0.1438 0.0504
2 Pa 0.3657 0.6328 0.8774
3 Ru 0.0000 0.0000 0.5000
4 Ru 0.3589 0.6015 0.3742

***

Copy entry 10 word for word.
For Ho2Pa2Ru3, a cell relaxed with GGA-PBE gives the computed X-ray powder pattern in this record (copper Kα).

Most intense lines, 2θ = 5–70°, most intense first:
| hkl | 2θ (°) | I/Imax |
| --- | --- | --- |
| 2 1 0 | 31.71 | 100 |
| 1 2 1 | 29.38 | 71 |
| 1 3 -1 | 34.60 | 68 |
| 0 1 2 | 35.32 | 57 |
| 0 4 0 | 35.42 | 48 |
| 2 3 0 | 40.69 | 36 |
| 2 0 -2 | 44.85 | 33 |
| 2 4 2 | 60.95 | 26 |
| 1 0 2 | 38.42 | 25 |
| 0 3 2 | 43.66 | 25 |

Structure:
Lattice parameters (Å, degrees): 5.8877 10.1374 5.2607 90.00 93.57 90.00
Space group P2_1/c (No. 14)
Unique sites:
1 Ho 0.1331 0.1438 0.0504
2 Pa 0.3657 0.6328 0.8774
3 Ru 0.0000 0.0000 0.5000
4 Ru 0.3589 0.6015 0.3742